Diffraction record for CaMn4Ag4O16. The powder diffractogram is simulated, not measured: it uses DFT lattice parameters and positions (GGA+U) and Cu Kα (λ = 1.5418 Å).

Principal peaks in the range 2θ = 15–90°, low angle first:
| index | two_theta | I (rel.) |
| --- | --- | --- |
| 0 2 0 | 21.59 | 91 |
| 1 0 -2 | 23.25 | 100 |
| 1 -1 2 | 28.69 | 99 |
| 1 1 2 | 30.98 | 56 |
| 2 0 -1 | 32.60 | 60 |
| 0 3 1 | 34.71 | 43 |

Structural model:
```
data_CaMn4Ag4O16
_chemical_formula_sum 'Ca1 Mn4 Ag4 O16'
_symmetry_space_group_name_H-M 'P 1'
_symmetry_Int_Tables_number 1
_cell_length_a 5.5708
_cell_length_b 8.2971
_cell_length_c 9.1944
_cell_angle_alpha 91.98
_cell_angle_beta 99.83
_cell_angle_gamma 96.53
loop_
_symmetry_equiv_pos_as_xyz
'x,y,z'
loop_
_atom_site_label
_atom_site_type_symbol
_atom_site_fract_x
_atom_site_fract_y
_atom_site_fract_z
Ca1 Ca 0.0000 0.0000 0.0000
Mn1 Mn 0.2710 0.0135 0.4217
Mn2 Mn 0.3886 0.7765 0.8637
Mn3 Mn 0.8489 0.5254 0.3116
Mn4 Mn 0.8788 0.3056 0.7835
Ag1 Ag 0.3862 0.4615 0.5878
Ag2 Ag 0.4335 0.3775 0.0216
Ag3 Ag 0.6156 0.9062 0.2073
Ag4 Ag 0.8094 0.8403 0.6152
O1 O 0.0355 0.4428 0.7057
O2 O 0.0426 0.2718 0.9486
O3 O 0.1049 0.8670 0.4885
O4 O 0.1172 0.8586 0.8181
O5 O 0.1325 0.5015 0.3734
O6 O 0.1359 0.0348 0.2463
O7 O 0.3040 0.1849 0.5193
O8 O 0.3574 0.6285 0.9784
O9 O 0.5151 0.7208 0.7146
O10 O 0.5533 0.9508 0.4271
O11 O 0.5937 0.9345 0.9693
O12 O 0.6175 0.3683 0.8066
O13 O 0.7058 0.5575 0.4494
O14 O 0.7137 0.3603 0.2131
O15 O 0.8255 0.1358 0.6872
O16 O 0.8383 0.6799 0.2072
```